Diffraction record for LiPaAg2Br8. The powder diffractogram is computed, not measured: it uses a cell relaxed with GGA-PBE and Cu Kα, 1.54184 Å.

Cell and atoms:
abc: 6.993 7.380 8.767
angles: 71.24 87.47 73.70
Positions (direct):
Li 0.000 0.000 0.000
Pa 0.000 0.000 0.500
Ag 0.447 0.372 0.157
Ag 0.553 0.628 0.843
Br 0.094 0.248 0.215
Br 0.107 0.207 0.670
Br 0.357 0.775 0.065
Br 0.380 0.755 0.537
Br 0.620 0.245 0.463
Br 0.643 0.225 0.935
Br 0.893 0.793 0.330
Br 0.906 0.752 0.785

Most intense lines, 5° ≤ 2θ ≤ 70°, in order of falling intensity:
2theta	I_rel	(hkl)
14.06	100	0 1 1
26.57	64	2 0 0
44.84	62	1 -2 2
15.84	62	1 1 0
17.43	61	1 0 1
41.24	50	0 1 4
33.04	48	2 -1 0
41.79	38	2 3 0
43.48	36	3 1 2
21.22	36	1 -1 0